Entry 1:
This entry pairs a crystal structure of Li9Mn2Co5O16 with its simulated PXRD pattern. Radiation: λ = 1.5418 Å (Cu Kα). Structure: a crystal structure in the Materials Project, relaxed with PBE+U.
No peak broadening, texture or thermal motion is included.

Crystal structure
Cell lengths 5.0064, 5.1773, 11.2845 Å; angles 82.18, 86.55, 79.19 degrees
Space group P-1 (No. 2)
Asymmetric unit:
Li1 0.0000 0.0000 0.0000 (multiplicity 1)
Li2 0.2361 0.4315 0.0635 (multiplicity 2)
Li3 0.2355 0.6898 0.8161 (multiplicity 2)
Li4 0.2455 0.1872 0.3126 (multiplicity 2)
Li5 0.2527 0.9382 0.5630 (multiplicity 2)
Mn1 0.4976 0.8832 0.1222 (multiplicity 2)
Co1 0.0000 0.5000 0.5000 (multiplicity 1)
Co2 0.0011 0.7624 0.2440 (multiplicity 2)
Co3 0.4946 0.3781 0.6260 (multiplicity 2)
O1 0.1324 0.8204 0.3971 (multiplicity 2)
O2 0.1372 0.5854 0.6484 (multiplicity 2)
O3 0.1376 0.3318 0.8941 (multiplicity 2)
O4 0.1476 0.0836 0.1564 (multiplicity 2)
O5 0.3647 0.0470 0.7278 (multiplicity 2)
O6 0.3675 0.5737 0.2123 (multiplicity 2)
O7 0.3719 0.2955 0.4682 (multiplicity 2)
O8 0.3937 0.8078 0.9709 (multiplicity 2)

Main lines, in order of falling intensity (2θ = 10–80°):
- 2θ 18.35, d = 4.834 Å, I 100, (0 1 1)
- 2θ 42.60, d = 2.122 Å, I 30, (1 2 -2)
- 2θ 44.12, d = 2.053 Å, I 27, (1 1 5)
- 2θ 44.41, d = 2.040 Å, I 26, (-2 1 1)
- 2θ 35.41, d = 2.535 Å, I 15, (1 1 -3)
- 2θ 36.43, d = 2.466 Å, I 13, (1 0 4)
- 2θ 36.57, d = 2.457 Å, I 12, (2 0 0)
- 2θ 62.69, d = 1.482 Å, I 8, (2 3 3)

Entry 2:
This entry pairs a crystal structure of SrCrO3 with its simulated PXRD pattern. Radiation: λ = 1.5418 Å (Cu Kα). Structure: a crystal structure in the Materials Project, relaxed with PBE+U.
No peak broadening, texture or thermal motion is included.

Crystal structure
Cell lengths 3.8932, 3.8932, 3.8932 Å; angles 90.00, 90.00, 90.00 degrees
Space group Pm-3m (No. 221)
Asymmetric unit:
Sr1 0.0000 0.0000 0.0000 (multiplicity 1)
Cr1 0.5000 0.5000 0.5000 (multiplicity 1)
O1 0.0000 0.5000 0.5000 (multiplicity 3)

Main lines, in order of falling intensity (2θ = 10–80°):
- 2θ 32.52, d = 2.753 Å, I 100, (1 1 0)
- 2θ 46.66, d = 1.947 Å, I 39, (2 0 0)
- 2θ 58.03, d = 1.589 Å, I 37, (2 1 1)
- 2θ 68.12, d = 1.376 Å, I 22, (2 2 0)
- 2θ 40.12, d = 2.248 Å, I 16, (1 1 1)
- 2θ 77.54, d = 1.231 Å, I 16, (3 1 0)
- 2θ 22.84, d = 3.893 Å, I 2, (1 0 0)
- 2θ 52.56, d = 1.741 Å, I 2, (2 1 0)